Record 1
Structure and calculated powder X-ray diffraction pattern of Li6ZnRh8 (the GGA-PBE geometry in Alexandria; λ = 1.5418 Å (Cu Kα)).

The 12 most intense peaks (10° ≤ 2θ ≤ 80°), in order of rising 2θ:
| d [Å] | I_rel |
| --- | --- |
| 4.466 | 87.5 |
| 3.582 | 17.5 |
| 2.794 | 17.5 |
| 2.460 | 27.0 |
| 2.310 | 87.8 |
| 2.233 | 14.3 |
| 2.213 | 100.0 |
| 2.028 | 23.1 |
| 1.921 | 32.3 |
| 1.876 | 16.1 |
| 1.354 | 21.6 |
| 1.296 | 16.9 |

Atomic structure:
a = 6.087 Å, b = 6.087 Å, c = 6.087 Å
α = 72.09°, β = 72.09°, γ = 72.09°
Sites, in units of the cell vectors:
Li: 0.116 0.546 0.800
Li: 0.200 0.884 0.454
Li: 0.454 0.200 0.884
Li: 0.546 0.800 0.116
Li: 0.800 0.116 0.546
Li: 0.884 0.454 0.200
Zn: 0.500 0.500 0.500
Rh: 0.088 0.088 0.088
Rh: 0.160 0.263 0.576
Rh: 0.263 0.576 0.160
Rh: 0.424 0.840 0.737
Rh: 0.576 0.160 0.263
Rh: 0.737 0.424 0.840
Rh: 0.840 0.737 0.424
Rh: 0.912 0.912 0.912

***

Record 2
Structure and calculated powder X-ray diffraction pattern of PrNd2Se4 (the GGA-PBE geometry in Alexandria; λ = 1.5418 Å (Cu Kα)).

The 12 most intense peaks (10° ≤ 2θ ≤ 80°), in order of rising 2θ:
| d [Å] | I_rel |
| --- | --- |
| 3.921 | 92.3 |
| 3.166 | 41.1 |
| 3.019 | 76.8 |
| 2.833 | 100.0 |
| 2.307 | 54.8 |
| 2.203 | 34.6 |
| 2.093 | 57.4 |
| 2.081 | 18.9 |
| 2.061 | 36.2 |
| 1.961 | 18.0 |
| 1.825 | 22.3 |
| 1.469 | 29.7 |

Atomic structure:
a = 7.300 Å, b = 7.300 Å, c = 14.199 Å
α = 90.00°, β = 90.00°, γ = 147.20°
Sites, in units of the cell vectors:
Pr: 0.126 0.874 0.750
Pr: 0.874 0.126 0.250
Nd: 0.370 0.630 0.570
Nd: 0.370 0.630 0.930
Nd: 0.630 0.370 0.070
Nd: 0.630 0.370 0.430
Se: 0.000 0.000 0.000
Se: 0.000 0.000 0.500
Se: 0.276 0.724 0.123
Se: 0.276 0.724 0.377
Se: 0.470 0.530 0.750
Se: 0.530 0.470 0.250
Se: 0.724 0.276 0.623
Se: 0.724 0.276 0.877

***

Record 3
Structure and calculated powder X-ray diffraction pattern of Pd5Au (the GGA-PBE geometry in Alexandria; λ = 1.5418 Å (Cu Kα)).

The 12 most intense peaks (10° ≤ 2θ ≤ 80°), in order of rising 2θ:
| d [Å] | I_rel |
| --- | --- |
| 6.002 | 2.9 |
| 3.974 | 1.4 |
| 3.778 | 2.5 |
| 3.313 | 2.0 |
| 2.738 | 2.6 |
| 2.301 | 100.0 |
| 2.001 | 16.4 |
| 1.988 | 32.3 |
| 1.410 | 20.8 |
| 1.406 | 10.3 |
| 1.205 | 12.4 |
| 1.200 | 12.4 |

Atomic structure:
a = 3.980 Å, b = 12.004 Å, c = 3.974 Å
α = 90.00°, β = 90.00°, γ = 90.00°
Sites, in units of the cell vectors:
Pd: 0.000 0.000 0.000
Pd: 0.000 0.168 0.500
Pd: 0.000 0.332 0.000
Pd: 0.000 0.668 0.000
Pd: 0.000 0.832 0.500
Pd: 0.500 0.168 0.000
Pd: 0.500 0.332 0.500
Pd: 0.500 0.500 0.000
Pd: 0.500 0.668 0.500
Pd: 0.500 0.832 0.000
Au: 0.000 0.500 0.500
Au: 0.500 0.000 0.500

***

Record 4
Structure and calculated powder X-ray diffraction pattern of Rb3ScAg2Br9 (the GGA-PBE geometry in Alexandria; λ = 1.5418 Å (Cu Kα)).

The 12 most intense peaks (10° ≤ 2θ ≤ 80°), in order of rising 2θ:
| d [Å] | I_rel |
| --- | --- |
| 5.506 | 24.2 |
| 3.911 | 13.0 |
| 3.876 | 12.4 |
| 3.208 | 16.4 |
| 3.169 | 48.8 |
| 2.753 | 100.0 |
| 1.955 | 34.7 |
| 1.938 | 34.8 |
| 1.659 | 13.7 |
| 1.585 | 17.8 |
| 1.236 | 14.5 |
| 1.227 | 15.1 |

Atomic structure:
a = 7.751 Å, b = 7.751 Å, c = 9.624 Å
α = 90.00°, β = 90.00°, γ = 120.00°
Sites, in units of the cell vectors:
Rb: 0.000 0.000 0.000
Rb: 0.333 0.667 0.680
Rb: 0.667 0.333 0.320
Sc: 0.000 0.000 0.500
Ag: 0.333 0.667 0.160
Ag: 0.667 0.333 0.840
Br: 0.000 0.500 0.000
Br: 0.162 0.325 0.341
Br: 0.162 0.838 0.341
Br: 0.325 0.162 0.659
Br: 0.500 0.000 0.000
Br: 0.500 0.500 0.000
Br: 0.675 0.838 0.341
Br: 0.838 0.162 0.659
Br: 0.838 0.675 0.659

***

Record 5
Structure and calculated powder X-ray diffraction pattern of Zn2InAu (the GGA-PBE geometry in Alexandria; λ = 1.5418 Å (Cu Kα)).

The 12 most intense peaks (10° ≤ 2θ ≤ 80°), in order of rising 2θ:
| d [Å] | I_rel |
| --- | --- |
| 4.601 | 11.4 |
| 4.554 | 19.7 |
| 2.724 | 10.9 |
| 2.666 | 36.6 |
| 2.338 | 100.0 |
| 2.277 | 22.4 |
| 1.747 | 7.7 |
| 1.731 | 19.1 |
| 1.585 | 7.4 |
| 1.467 | 22.5 |
| 1.362 | 8.8 |
| 1.326 | 14.6 |

Atomic structure:
a = 3.169 Å, b = 5.332 Å, c = 9.108 Å
α = 90.00°, β = 90.00°, γ = 90.00°
Sites, in units of the cell vectors:
Zn: 0.000 0.000 0.235
Zn: 0.000 0.000 0.765
Zn: 0.500 0.500 0.265
Zn: 0.500 0.500 0.735
In: 0.000 0.500 0.000
In: 0.500 0.000 0.500
Au: 0.000 0.500 0.500
Au: 0.500 0.000 0.000

***

Record 6
Structure and calculated powder X-ray diffraction pattern of Ac3Zn2In9 (the GGA-PBE geometry in Alexandria; λ = 1.5418 Å (Cu Kα)).

The 12 most intense peaks (10° ≤ 2θ ≤ 80°), in order of rising 2θ:
| d [Å] | I_rel |
| --- | --- |
| 3.362 | 22.6 |
| 2.985 | 37.7 |
| 2.970 | 12.3 |
| 2.932 | 21.8 |
| 2.892 | 100.0 |
| 2.746 | 20.7 |
| 2.434 | 35.7 |
| 2.412 | 14.1 |
| 2.324 | 20.2 |
| 1.681 | 14.8 |
| 1.647 | 13.2 |
| 1.479 | 13.1 |

Atomic structure:
a = 9.309 Å, b = 9.309 Å, c = 9.309 Å
α = 149.68°, β = 105.01°, γ = 82.98°
Sites, in units of the cell vectors:
Ac: 0.000 0.000 0.000
Ac: 0.319 0.319 0.000
Ac: 0.681 0.681 0.000
Zn: 0.297 0.500 0.797
Zn: 0.703 0.500 0.203
In: 0.026 0.656 0.370
In: 0.140 0.863 0.277
In: 0.286 0.656 0.630
In: 0.414 0.137 0.277
In: 0.500 0.000 0.500
In: 0.586 0.863 0.723
In: 0.714 0.344 0.370
In: 0.860 0.137 0.723
In: 0.974 0.344 0.630

***

Record 7
Structure and calculated powder X-ray diffraction pattern of ZrAlTl2 (the GGA-PBE geometry in Alexandria; λ = 1.5418 Å (Cu Kα)).

The 12 most intense peaks (10° ≤ 2θ ≤ 80°), in order of rising 2θ:
| d [Å] | I_rel |
| --- | --- |
| 3.902 | 43.5 |
| 2.605 | 15.8 |
| 2.567 | 100.0 |
| 2.474 | 22.6 |
| 2.123 | 29.0 |
| 1.865 | 12.2 |
| 1.646 | 8.3 |
| 1.611 | 24.5 |
| 1.445 | 17.1 |
| 1.296 | 23.8 |
| 1.284 | 5.8 |
| 1.282 | 5.8 |

Atomic structure:
a = 5.999 Å, b = 6.010 Å, c = 9.895 Å
α = 90.00°, β = 90.00°, γ = 90.00°
Sites, in units of the cell vectors:
Zr: 0.000 0.000 0.000
Zr: 0.000 0.500 0.500
Zr: 0.500 0.000 0.500
Zr: 0.500 0.500 0.000
Al: 0.250 0.250 0.250
Al: 0.250 0.750 0.750
Al: 0.750 0.250 0.750
Al: 0.750 0.750 0.250
Tl: 0.000 0.000 0.500
Tl: 0.000 0.500 0.000
Tl: 0.250 0.250 0.750
Tl: 0.250 0.750 0.250
Tl: 0.500 0.000 0.000
Tl: 0.500 0.500 0.500
Tl: 0.750 0.250 0.250
Tl: 0.750 0.750 0.750

***

What did the fourth record say?
Structure and calculated powder X-ray diffraction pattern of Rb3ScAg2Br9 (the GGA-PBE geometry in Alexandria; λ = 1.5418 Å (Cu Kα)).

The 12 most intense peaks (10° ≤ 2θ ≤ 80°), in order of rising 2θ:
| d [Å] | I_rel |
| --- | --- |
| 5.506 | 24.2 |
| 3.911 | 13.0 |
| 3.876 | 12.4 |
| 3.208 | 16.4 |
| 3.169 | 48.8 |
| 2.753 | 100.0 |
| 1.955 | 34.7 |
| 1.938 | 34.8 |
| 1.659 | 13.7 |
| 1.585 | 17.8 |
| 1.236 | 14.5 |
| 1.227 | 15.1 |

Atomic structure:
a = 7.751 Å, b = 7.751 Å, c = 9.624 Å
α = 90.00°, β = 90.00°, γ = 120.00°
Sites, in units of the cell vectors:
Rb: 0.000 0.000 0.000
Rb: 0.333 0.667 0.680
Rb: 0.667 0.333 0.320
Sc: 0.000 0.000 0.500
Ag: 0.333 0.667 0.160
Ag: 0.667 0.333 0.840
Br: 0.000 0.500 0.000
Br: 0.162 0.325 0.341
Br: 0.162 0.838 0.341
Br: 0.325 0.162 0.659
Br: 0.500 0.000 0.000
Br: 0.500 0.500 0.000
Br: 0.675 0.838 0.341
Br: 0.838 0.162 0.659
Br: 0.838 0.675 0.659